Calculated powder diffractogram of BaV12S16 for Cu Kα (weighted mean of Kα1 and Kα2), from the GGA-PBE geometry in the Materials Project.
Kinematic intensities with the Lorentz-polarization factor, no thermal factor.

Principal peaks in the range 2θ from 5° to 70°, in order of rising 2θ:
| d [Å] | 2θ/deg | I_rel |
| --- | --- | --- |
| 7.992 | 11.07 | 49.8 |
| 3.996 | 22.25 | 33.4 |
| 3.003 | 29.75 | 33.8 |
| 2.664 | 33.64 | 31.4 |
| 2.517 | 35.67 | 32.0 |
| 2.218 | 40.68 | 41.2 |
| 2.211 | 40.81 | 100.0 |
| 2.208 | 40.86 | 35.0 |
| 1.880 | 48.43 | 49.1 |
| 1.621 | 56.81 | 21.9 |

Crystal structure
```
BaV12S16
1.0
9.220 -3.241 0.000
9.220 3.241 0.000
-4.597 0.000 7.999
Ba V S
1 12 16
Direct
0.000 0.000 0.000
0.012 0.497 0.622
0.245 0.245 0.378
0.310 0.803 0.492
0.316 0.316 0.117
0.443 0.443 0.511
0.446 0.932 0.888
0.497 0.012 0.622
0.743 0.743 0.370
0.803 0.310 0.492
0.811 0.811 0.114
0.932 0.446 0.888
0.943 0.943 0.515
0.079 0.578 0.948
0.084 0.583 0.334
0.166 0.166 0.668
0.178 0.178 0.055
0.279 0.774 0.710
0.354 0.354 0.655
0.396 0.895 0.344
0.473 0.473 0.295
0.578 0.079 0.948
0.583 0.084 0.334
0.667 0.667 0.667
0.673 0.673 0.054
0.774 0.279 0.710
0.849 0.849 0.644
0.895 0.396 0.344
0.973 0.973 0.301
```